# SrNbN2O
Simulated powder diffractogram, Cu Kα X-rays. Input: a structure optimized by DFT (PBE).

Cell and atoms:
Unit cell a=5.8199 b=5.8199 c=7.1019 alpha=90.00 beta=90.00 gamma=120.00
Fractional coordinates of all 15 atoms:
Sr 0.0000 0.6835 0.3333
Sr 0.3165 0.3165 0.0000
Sr 0.6835 0.0000 0.6667
Nb 0.0000 0.6543 0.8333
Nb 0.3457 0.3457 0.5000
Nb 0.6543 0.0000 0.1667
N 0.1587 0.5024 0.6629
N 0.3438 0.8413 0.9963
N 0.4976 0.6562 0.3296
N 0.5024 0.1587 0.3371
N 0.6562 0.4976 0.6704
N 0.8413 0.3438 0.0037
O 0.0000 0.1483 0.3333
O 0.1483 0.0000 0.6667
O 0.8517 0.8517 0.0000

Main lines, by angle (15 to 90 degrees two-theta):
2θ 30.76, intensity 100
2θ 44.06, intensity 32
2θ 54.66, intensity 29
2θ 54.82, intensity 10
2θ 63.99, intensity 9
2θ 64.17, intensity 10
2θ 72.82, intensity 8
2θ 89.02, intensity 9

# SrNbN2O
Simulated powder diffractogram, Cu Kα X-rays. Input: a structure optimized by DFT (PBE).

Cell and atoms:
Unit cell a=11.6059 b=4.0886 c=5.8351 alpha=90.00 beta=90.00 gamma=90.00
Fractional coordinates of all 20 atoms:
Sr 0.0000 0.0000 0.0000
Sr 0.2500 0.0000 0.4758
Sr 0.5000 0.0000 0.0000
Sr 0.7500 0.0000 0.5242
Nb 0.0000 0.5000 0.5000
Nb 0.2500 0.5000 0.9800
Nb 0.5000 0.5000 0.5000
Nb 0.7500 0.5000 0.0200
N 0.0000 0.0000 0.5000
N 0.1205 0.5000 0.7620
N 0.2500 0.0000 0.0091
N 0.3795 0.5000 0.7620
N 0.5000 0.0000 0.5000
N 0.6205 0.5000 0.2380
N 0.7500 0.0000 0.9909
N 0.8795 0.5000 0.2380
O 0.1299 0.5000 0.2656
O 0.3701 0.5000 0.2656
O 0.6299 0.5000 0.7344
O 0.8701 0.5000 0.7344

Main lines, by angle (15 to 90 degrees two-theta):
2θ 30.64, intensity 19
2θ 30.83, intensity 100
2θ 44.01, intensity 25
2θ 44.31, intensity 13
2θ 54.59, intensity 15
2θ 54.82, intensity 23
2θ 64.22, intensity 19
2θ 89.36, intensity 12

# SrNbN2O
Simulated powder diffractogram, Cu Kα X-rays. Input: a structure optimized by DFT (PBE).

Cell and atoms:
Unit cell a=5.8199 b=5.8199 c=7.1019 alpha=90.00 beta=90.00 gamma=120.00
Fractional coordinates of all 15 atoms:
Sr 0.0000 0.6835 0.3333
Sr 0.3165 0.3165 0.0000
Sr 0.6835 0.0000 0.6667
Nb 0.0000 0.6543 0.8333
Nb 0.3457 0.3457 0.5000
Nb 0.6543 0.0000 0.1667
N 0.1587 0.5024 0.6629
N 0.3438 0.8413 0.9963
N 0.4976 0.6562 0.3296
N 0.5024 0.1587 0.3371
N 0.6562 0.4976 0.6704
N 0.8413 0.3438 0.0037
O 0.0000 0.1483 0.3333
O 0.1483 0.0000 0.6667
O 0.8517 0.8517 0.0000

Main lines, by angle (15 to 90 degrees two-theta):
2θ 30.76, intensity 100
2θ 44.06, intensity 32
2θ 54.66, intensity 29
2θ 54.82, intensity 10
2θ 63.99, intensity 9
2θ 64.17, intensity 10
2θ 72.82, intensity 8
2θ 89.02, intensity 9

# SrNbN2O
Simulated powder diffractogram, Cu Kα X-rays. Input: a structure optimized by DFT (PBE).

Cell and atoms:
Unit cell a=7.1109 b=7.1109 c=7.1109 alpha=109.44 beta=109.44 gamma=109.53
Fractional coordinates of all 20 atoms:
Sr 0.2317 0.2317 0.0000
Sr 0.2500 0.7500 0.5000
Sr 0.7500 0.2500 0.5000
Sr 0.7683 0.7683 0.0000
Nb 0.2553 0.2553 0.5107
Nb 0.2553 0.7447 0.0000
Nb 0.7447 0.2553 0.0000
Nb 0.7447 0.7447 0.4893
N 0.0000 0.0000 0.5000
N 0.0000 0.5000 0.0000
N 0.2445 0.5000 0.7445
N 0.5000 0.0000 0.0000
N 0.5000 0.2445 0.7445
N 0.5000 0.5000 0.5000
N 0.5000 0.7555 0.2555
N 0.7555 0.5000 0.2555
O 0.0000 0.2417 0.2417
O 0.0000 0.7583 0.7583
O 0.2417 0.0000 0.2417
O 0.7583 0.0000 0.7583

Main lines, by angle (15 to 90 degrees two-theta):
2θ 21.65, intensity 3
2θ 30.80, intensity 100
2θ 44.12, intensity 32
2θ 54.77, intensity 39
2θ 64.16, intensity 19
2θ 72.85, intensity 16
2θ 81.16, intensity 6
2θ 89.27, intensity 19